Theoretical XRD peak list of MgCoAs2 for Cu Kα, 1.54184 Å, from a GGA-PBE-relaxed structure.
Peak positions follow from Bragg's law for the DFT cell and can differ from measured ones.

Top 10 peaks for 2θ = 15–90°, in order of rising 2θ:
2θ (°), I/Imax
30.38, 11
34.69, 100
44.69, 21
48.67, 23
50.98, 12
51.10, 25
62.09, 12
63.15, 11
73.21, 6
85.53, 9

Crystal structure
a b c (Å): 3.575 3.575 6.592
angles (deg): 105.78 105.78 60.14
Positions (direct):
Mg  0.000  0.000  0.000
Co  0.500  0.500  0.500
As  0.231  0.231  0.693
As  0.769  0.769  0.307